Record 1
# HoCu4P2
Theoretical powder diffractogram, CuKα. Input: a DFT-relaxed cell (GGA-PBE, Alexandria).
Intensities are scaled so that the largest is 100.

Cell and atoms:
a b c (Å): 7.246 7.246 3.783
angles (deg): 90.00 90.00 90.00
Sites, in units of the cell vectors:
1 Ho 0.000 0.000 0.000
2 Ho 0.500 0.500 0.500
3 Cu 0.084 0.335 0.500
4 Cu 0.165 0.584 0.000
5 Cu 0.335 0.084 0.500
6 Cu 0.416 0.835 0.000
7 Cu 0.584 0.165 0.000
8 Cu 0.665 0.916 0.500
9 Cu 0.835 0.416 0.000
10 Cu 0.916 0.665 0.500
11 P 0.213 0.787 0.500
12 P 0.287 0.287 0.000
13 P 0.713 0.713 0.000
14 P 0.787 0.213 0.500

Largest 10 diffraction maxima, in order of rising 2θ, 2θ from 10° to 90°:
- 2θ = 24.57°, I = 11
- 2θ = 26.58°, I = 15
- 2θ = 36.51°, I = 100
- 2θ = 39.32°, I = 43
- 2θ = 42.62°, I = 22
- 2θ = 46.33°, I = 19
- 2θ = 48.10°, I = 19
- 2θ = 57.86°, I = 12
- 2θ = 63.81°, I = 20
- 2θ = 69.46°, I = 22

***

Record 2
# HoPaCu4
Theoretical powder diffractogram, CuKα. Input: a DFT-relaxed cell (GGA-PBE, Alexandria).
Intensities are scaled so that the largest is 100.

Cell and atoms:
a b c (Å): 5.211 5.211 5.211
angles (deg): 60.00 60.00 60.00
Sites, in units of the cell vectors:
1 Ho 0.000 0.000 0.000
2 Pa 0.250 0.250 0.250
3 Cu 0.125 0.625 0.625
4 Cu 0.625 0.125 0.625
5 Cu 0.625 0.625 0.125
6 Cu 0.625 0.625 0.625

Largest 10 diffraction maxima, in order of rising 2θ, 2θ from 10° to 90°:
- 2θ = 20.88°, I = 21
- 2θ = 34.42°, I = 69
- 2θ = 40.60°, I = 100
- 2θ = 42.49°, I = 14
- 2θ = 54.25°, I = 6
- 2θ = 61.65°, I = 26
- 2θ = 65.85°, I = 31
- 2θ = 72.56°, I = 22
- 2θ = 82.84°, I = 12
- 2θ = 86.62°, I = 11

***

Record 3
# HoPaCuTc
Theoretical powder diffractogram, CuKα. Input: a DFT-relaxed cell (GGA-PBE, Alexandria).
Intensities are scaled so that the largest is 100.

Cell and atoms:
a b c (Å): 6.873 6.873 6.873
angles (deg): 90.00 90.00 90.00
Sites, in units of the cell vectors:
1 Ho 0.000 0.000 0.000
2 Ho 0.000 0.500 0.500
3 Ho 0.500 0.000 0.500
4 Ho 0.500 0.500 0.000
5 Pa 0.000 0.000 0.500
6 Pa 0.000 0.500 0.000
7 Pa 0.500 0.000 0.000
8 Pa 0.500 0.500 0.500
9 Cu 0.250 0.250 0.250
10 Cu 0.250 0.750 0.750
11 Cu 0.750 0.250 0.750
12 Cu 0.750 0.750 0.250
13 Tc 0.250 0.250 0.750
14 Tc 0.250 0.750 0.250
15 Tc 0.750 0.250 0.250
16 Tc 0.750 0.750 0.750

Largest 10 diffraction maxima, in order of rising 2θ, 2θ from 10° to 90°:
- 2θ = 22.41°, I = 4
- 2θ = 25.93°, I = 19
- 2θ = 36.99°, I = 100
- 2θ = 43.68°, I = 2
- 2θ = 45.73°, I = 6
- 2θ = 53.32°, I = 18
- 2θ = 60.22°, I = 8
- 2θ = 66.67°, I = 36
- 2θ = 78.77°, I = 11
- 2θ = 84.60°, I = 4